# 1
For CoP2O7, a GGA+U-relaxed structure gives the calculated X-ray powder pattern in this record (Cu Kα, 1.54184 Å).
Neutral-atom scattering factors, no anomalous dispersion.

Most intense lines, 2θ from 15° to 90°, in order of rising 2θ:
Position (°2θ), d/Å, I/Imax
17.46, 5.080, 97
21.96, 4.047, 62
24.50, 3.634, 39
28.43, 3.140, 100
29.75, 3.003, 80
30.72, 2.911, 70
35.34, 2.540, 26
42.76, 2.115, 26

Crystal structure
```
data_CoP2O7
_chemical_formula_sum 'Co1 P2 O7'
_space_group_name_H-M_alt 'P 1'
_space_group_IT_number 1
_space_group_name_Hall 'P 1'
_cell_length_a 5.2357
_cell_length_b 5.2357
_cell_length_c 4.5606
_cell_angle_alpha 96.85
_cell_angle_beta 96.85
_cell_angle_gamma 101.23
loop_
_atom_site_label
_atom_site_type_symbol
_atom_site_fract_x
_atom_site_fract_y
_atom_site_fract_z
Co1 Co 0.0000 0.0000 0.0000
P1 P 0.4527 0.1357 0.5888
P2 P 0.8643 0.5473 0.4112
O1 O 0.0326 0.6918 0.7016
O2 O 0.2611 0.2061 0.8008
O3 O 0.3082 0.9674 0.2984
O4 O 0.5815 0.4185 0.5000
O5 O 0.6687 0.0204 0.7395
O6 O 0.7939 0.7389 0.1992
O7 O 0.9796 0.3313 0.2605
```

***

# 2
For Tm2MoO6, a GGA+U-relaxed structure gives the calculated X-ray powder pattern in this record (Cu Kα, 1.54184 Å).
Neutral-atom scattering factors, no anomalous dispersion.

Most intense lines, 2θ from 15° to 90°, in order of rising 2θ:
Position (°2θ), d/Å, I/Imax
28.91, 3.088, 100
29.17, 3.062, 94
32.59, 2.747, 24
33.64, 2.664, 21
34.70, 2.585, 20
47.54, 1.913, 26
48.35, 1.883, 27
48.77, 1.867, 15

Crystal structure
```
data_Tm2MoO6
_chemical_formula_sum 'Tm8 Mo4 O24'
_space_group_name_H-M_alt 'P 1'
_space_group_IT_number 1
_space_group_name_Hall 'P 1'
_cell_length_a 9.8440
_cell_length_b 9.8440
_cell_length_c 5.3290
_cell_angle_alpha 105.11
_cell_angle_beta 105.11
_cell_angle_gamma 67.86
loop_
_atom_site_label
_atom_site_type_symbol
_atom_site_fract_x
_atom_site_fract_y
_atom_site_fract_z
Tm1 Tm 0.0513 0.2824 0.8766
Tm2 Tm 0.1052 0.8948 0.7500
Tm3 Tm 0.2824 0.0513 0.3766
Tm4 Tm 0.3626 0.6374 0.2500
Tm5 Tm 0.6374 0.3626 0.7500
Tm6 Tm 0.7176 0.9487 0.6234
Tm7 Tm 0.8948 0.1052 0.2500
Tm8 Tm 0.9487 0.7176 0.1234
Mo1 Mo 0.2044 0.4869 0.5613
Mo2 Mo 0.4869 0.2044 0.0613
Mo3 Mo 0.5131 0.7956 0.9387
Mo4 Mo 0.7956 0.5131 0.4387
O1 O 0.0666 0.4759 0.2515
O2 O 0.0720 0.1098 0.0777
O3 O 0.1098 0.0720 0.5777
O4 O 0.1624 0.6947 0.4193
O5 O 0.1742 0.6156 0.8770
O6 O 0.2104 0.3130 0.6356
O7 O 0.3053 0.8376 0.0807
O8 O 0.3130 0.2104 0.1356
O9 O 0.3844 0.8258 0.6230
O10 O 0.3917 0.4508 0.5126
O11 O 0.4508 0.3917 0.0126
O12 O 0.4759 0.0666 0.7515
O13 O 0.5241 0.9334 0.2485
O14 O 0.5492 0.6083 0.9874
O15 O 0.6083 0.5492 0.4874
O16 O 0.6156 0.1742 0.3770
O17 O 0.6870 0.7896 0.8644
O18 O 0.6947 0.1624 0.9193
O19 O 0.7896 0.6870 0.3644
O20 O 0.8258 0.3844 0.1230
O21 O 0.8376 0.3053 0.5807
O22 O 0.8902 0.9280 0.4223
O23 O 0.9280 0.8902 0.9223
O24 O 0.9334 0.5241 0.7485
```

***

# 3
For V9Sb7O32, a GGA+U-relaxed structure gives the calculated X-ray powder pattern in this record (Cu Kα, 1.54184 Å).
Neutral-atom scattering factors, no anomalous dispersion.

Most intense lines, 2θ from 15° to 90°, in order of rising 2θ:
Position (°2θ), d/Å, I/Imax
22.33, 3.981, 11
27.03, 3.299, 100
34.46, 2.602, 70
38.60, 2.333, 16
52.66, 1.738, 32
52.73, 1.736, 32
62.98, 1.476, 9
67.17, 1.394, 15

Crystal structure
```
data_V9Sb7O32
_chemical_formula_sum 'V9 Sb7 O32'
_space_group_name_H-M_alt 'P 1'
_space_group_IT_number 1
_space_group_name_Hall 'P 1'
_cell_length_a 4.6677
_cell_length_b 7.8079
_cell_length_c 15.3406
_cell_angle_alpha 77.57
_cell_angle_beta 89.88
_cell_angle_gamma 89.99
loop_
_atom_site_label
_atom_site_type_symbol
_atom_site_fract_x
_atom_site_fract_y
_atom_site_fract_z
V1 V 0.0000 0.0000 0.0000
V2 V 0.0044 0.7493 0.7533
V3 V 0.0080 0.1255 0.6289
V4 V 0.4945 0.6871 0.9382
V5 V 0.4961 0.5623 0.3110
V6 V 0.5039 0.4377 0.6890
V7 V 0.5055 0.3129 0.0618
V8 V 0.9920 0.8745 0.3711
V9 V 0.9956 0.2507 0.2467
Sb1 Sb 0.0000 0.5000 0.5000
Sb2 Sb 0.0027 0.3790 0.8773
Sb3 Sb 0.4954 0.9414 0.1874
Sb4 Sb 0.5000 0.1866 0.4328
Sb5 Sb 0.5000 0.8134 0.5672
Sb6 Sb 0.5046 0.0586 0.8126
Sb7 Sb 0.9973 0.6210 0.1227
O1 O 0.1888 0.6348 0.3896
O2 O 0.1899 0.5149 0.7637
O3 O 0.1915 0.7616 0.0145
O4 O 0.1911 0.8848 0.6408
O5 O 0.1952 0.0215 0.2629
O6 O 0.1965 0.1415 0.8869
O7 O 0.1973 0.3858 0.1415
O8 O 0.2007 0.2652 0.5122
O9 O 0.2913 0.8274 0.8231
O10 O 0.2985 0.3219 0.3251
O11 O 0.3002 0.7044 0.1997
O12 O 0.3050 0.9487 0.4524
O13 O 0.3056 0.4537 0.9509
O14 O 0.3064 0.5795 0.5758
O15 O 0.3098 0.0753 0.0766
O16 O 0.3126 0.1975 0.7030
O17 O 0.6874 0.8025 0.2970
O18 O 0.6902 0.9247 0.9234
O19 O 0.6936 0.4205 0.4242
O20 O 0.6944 0.5463 0.0491
O21 O 0.6950 0.0513 0.5476
O22 O 0.6998 0.2956 0.8003
O23 O 0.7015 0.6781 0.6749
O24 O 0.7087 0.1726 0.1769
O25 O 0.7993 0.7348 0.4878
O26 O 0.8027 0.6142 0.8585
O27 O 0.8035 0.8585 0.1131
O28 O 0.8048 0.9785 0.7371
O29 O 0.8089 0.1152 0.3592
O30 O 0.8085 0.2384 0.9855
O31 O 0.8101 0.4851 0.2363
O32 O 0.8112 0.3652 0.6104
```

***

# 4
For CaCo2O5, a GGA+U-relaxed structure gives the calculated X-ray powder pattern in this record (Cu Kα, 1.54184 Å).
Neutral-atom scattering factors, no anomalous dispersion.

Most intense lines, 2θ from 15° to 90°, in order of rising 2θ:
Position (°2θ), d/Å, I/Imax
15.95, 5.555, 100
22.55, 3.942, 20
25.23, 3.530, 48
26.48, 3.366, 24
28.83, 3.097, 41
35.00, 2.564, 41
35.11, 2.556, 20
48.93, 1.861, 20

Crystal structure
```
data_CaCo2O5
_chemical_formula_sum 'Ca2 Co4 O10'
_space_group_name_H-M_alt 'P 1'
_space_group_IT_number 1
_space_group_name_Hall 'P 1'
_cell_length_a 5.8587
_cell_length_b 5.8587
_cell_length_c 11.1904
_cell_angle_alpha 90.00
_cell_angle_beta 90.00
_cell_angle_gamma 142.95
loop_
_atom_site_label
_atom_site_type_symbol
_atom_site_fract_x
_atom_site_fract_y
_atom_site_fract_z
Ca1 Ca 0.0986 0.9014 0.7500
Ca2 Ca 0.9014 0.0986 0.2500
Co1 Co 0.2097 0.7903 0.0951
Co2 Co 0.2097 0.7903 0.4049
Co3 Co 0.7903 0.2097 0.5951
Co4 Co 0.7903 0.2097 0.9049
O1 O 0.0620 0.9380 0.1203
O2 O 0.0620 0.9380 0.3797
O3 O 0.2224 0.7776 0.5712
O4 O 0.2224 0.7776 0.9288
O5 O 0.2791 0.7209 0.2500
O6 O 0.7209 0.2791 0.7500
O7 O 0.7776 0.2224 0.0712
O8 O 0.7776 0.2224 0.4288
O9 O 0.9380 0.0620 0.6203
O10 O 0.9380 0.0620 0.8797
```

***

# 5
For Mg14VNiO16, a GGA+U-relaxed structure gives the calculated X-ray powder pattern in this record (Cu Kα, 1.54184 Å).
Neutral-atom scattering factors, no anomalous dispersion.

Most intense lines, 2θ from 15° to 90°, in order of rising 2θ:
Position (°2θ), d/Å, I/Imax
20.82, 4.267, 5
23.30, 3.817, 5
29.60, 3.017, 4
36.47, 2.464, 17
42.36, 2.134, 100
61.46, 1.509, 56
73.66, 1.286, 7
77.48, 1.232, 17

Crystal structure
```
data_Mg14VNiO16
_chemical_formula_sum 'Mg14 V1 Ni1 O16'
_space_group_name_H-M_alt 'P 1'
_space_group_IT_number 1
_space_group_name_Hall 'P 1'
_cell_length_a 4.2731
_cell_length_b 8.5278
_cell_length_c 8.5301
_cell_angle_alpha 90.00
_cell_angle_beta 90.00
_cell_angle_gamma 90.00
loop_
_atom_site_label
_atom_site_type_symbol
_atom_site_fract_x
_atom_site_fract_y
_atom_site_fract_z
Mg1 Mg 0.0000 0.0000 0.0000
Mg2 Mg 0.0000 0.0000 0.5000
Mg3 Mg 0.0000 0.2501 0.2488
Mg4 Mg 0.0000 0.2501 0.7512
Mg5 Mg 0.0000 0.7499 0.2488
Mg6 Mg 0.0000 0.7499 0.7512
Mg7 Mg 0.5000 0.0000 0.2498
Mg8 Mg 0.5000 0.0000 0.7502
Mg9 Mg 0.5000 0.2491 0.5000
Mg10 Mg 0.5000 0.2511 0.0000
Mg11 Mg 0.5000 0.5000 0.2477
Mg12 Mg 0.5000 0.5000 0.7523
Mg13 Mg 0.5000 0.7489 0.0000
Mg14 Mg 0.5000 0.7509 0.5000
V1 V 0.0000 0.5000 0.5000
Ni1 Ni 0.0000 0.5000 0.0000
O1 O 0.0000 0.0000 0.2491
O2 O 0.0000 0.0000 0.7509
O3 O 0.0000 0.2448 0.5000
O4 O 0.0000 0.2487 0.0000
O5 O 0.0000 0.5000 0.2453
O6 O 0.0000 0.5000 0.7547
O7 O 0.0000 0.7513 0.0000
O8 O 0.0000 0.7552 0.5000
O9 O 0.5000 0.0000 0.0000
O10 O 0.5000 0.0000 0.5000
O11 O 0.5000 0.2506 0.2499
O12 O 0.5000 0.2506 0.7501
O13 O 0.5000 0.5000 0.0000
O14 O 0.5000 0.5000 0.5000
O15 O 0.5000 0.7494 0.2499
O16 O 0.5000 0.7494 0.7501
```

***

# 6
For FeOF, a GGA+U-relaxed structure gives the calculated X-ray powder pattern in this record (Cu Kα, 1.54184 Å).
Neutral-atom scattering factors, no anomalous dispersion.

Most intense lines, 2θ from 15° to 90°, in order of rising 2θ:
Position (°2θ), d/Å, I/Imax
26.58, 3.354, 100
34.44, 2.604, 57
39.47, 2.283, 19
52.07, 1.756, 15
52.17, 1.753, 29
52.27, 1.750, 14
59.31, 1.558, 10
66.15, 1.413, 23

Crystal structure
```
data_FeOF
_chemical_formula_sum 'Fe12 O12 F12'
_space_group_name_H-M_alt 'P 1'
_space_group_IT_number 1
_space_group_name_Hall 'P 1'
_cell_length_a 9.4667
_cell_length_b 3.1160
_cell_length_c 14.2558
_cell_angle_alpha 90.00
_cell_angle_beta 90.20
_cell_angle_gamma 90.00
loop_
_atom_site_label
_atom_site_type_symbol
_atom_site_fract_x
_atom_site_fract_y
_atom_site_fract_z
Fe1 Fe 0.0000 0.0000 0.0000
Fe2 Fe 0.0054 0.0000 0.3327
Fe3 Fe 0.1986 0.5000 0.5090
Fe4 Fe 0.2053 0.5000 0.8339
Fe5 Fe 0.2176 0.5000 0.1605
Fe6 Fe 0.4588 0.0000 0.6471
Fe7 Fe 0.4705 0.0000 0.0114
Fe8 Fe 0.4781 0.0000 0.3460
Fe9 Fe 0.6971 0.5000 0.8446
Fe10 Fe 0.7073 0.5000 0.5035
Fe11 Fe 0.7164 0.5000 0.1602
Fe12 Fe 0.9874 0.0000 0.6714
O1 O 0.0636 0.5000 0.0639
O2 O 0.0664 0.5000 0.7329
O3 O 0.0714 0.5000 0.3992
O4 O 0.1142 0.0000 0.5660
O5 O 0.1270 0.0000 0.8954
O6 O 0.1313 0.0000 0.2301
O7 O 0.3222 0.0000 0.1004
O8 O 0.3651 0.5000 0.5975
O9 O 0.5706 0.5000 0.3975
O10 O 0.5734 0.5000 0.0710
O11 O 0.6151 0.0000 0.9025
O12 O 0.6260 0.0000 0.5659
F1 F 0.3163 0.0000 0.4328
F2 F 0.3250 0.0000 0.7678
F3 F 0.3720 0.5000 0.9327
F4 F 0.3832 0.5000 0.2713
F5 F 0.5634 0.5000 0.7308
F6 F 0.6268 0.0000 0.2332
F7 F 0.8084 0.0000 0.7705
F8 F 0.8199 0.0000 0.1009
F9 F 0.8210 0.0000 0.4348
F10 F 0.8677 0.5000 0.2636
F11 F 0.8700 0.5000 0.6032
F12 F 0.8696 0.5000 0.9336
```